The following is a simulated X-ray diffraction stick pattern of SrB4Pb3O12. It was derived from a structure optimized by DFT (GGA-PBE), using Cu Kα, 1.54184 Å.

Cell lengths 6.6561, 6.6561, 6.6561 Å; angles 102.32, 102.32, 102.32 degrees
Sites, in units of the cell vectors:
Sr: 0.0000 0.0000 0.0000
B: 0.0339 0.5000 0.9661
B: 0.5000 0.5000 0.5000
B: 0.5000 0.9661 0.0339
B: 0.9661 0.0339 0.5000
Pb: 0.0000 0.5284 0.4716
Pb: 0.4716 0.0000 0.5284
Pb: 0.5284 0.4716 0.0000
O: 0.0116 0.6227 0.8248
O: 0.1021 0.8979 0.5000
O: 0.1753 0.3773 0.9884
O: 0.3662 0.6338 0.5000
O: 0.3773 0.9884 0.1752
O: 0.5000 0.1021 0.8979
O: 0.5000 0.3662 0.6338
O: 0.6227 0.8247 0.0116
O: 0.6338 0.5000 0.3662
O: 0.8248 0.0116 0.6227
O: 0.8979 0.5000 0.1021
O: 0.9884 0.1753 0.3773

The 12 most intense peaks (10 to 90 degrees two-theta), by intensity:
2θ/deg	I/Imax
22.3	100
28.5	95
46.9	37
34.6	34
46.3	30
41.5	23
17.1	19
56.6	18
41.8	17
55.1	16
45.4	15
74.8	15